Structure and calculated powder diffraction line list of ErPu4Au5 (a cell relaxed with GGA-PBE; Cu Ka).

Structure:
Cell: 3.525 3.525 19.167 Å, 90.00 90.00 90.00°
Positions (direct):
Er (0.000, 0.000, 0.000)
Pu (0.000, 0.000, 0.196)
Pu (0.000, 0.000, 0.399)
Pu (0.000, 0.000, 0.601)
Pu (0.000, 0.000, 0.804)
Au (0.500, 0.500, 0.090)
Au (0.500, 0.500, 0.297)
Au (0.500, 0.500, 0.500)
Au (0.500, 0.500, 0.703)
Au (0.500, 0.500, 0.910)

Most intense lines, 5° ≤ 2θ ≤ 70°, most intense first:
2θ 34.57, I = 100
2θ 36.03, I = 46
2θ 63.84, I = 35
2θ 60.98, I = 19
2θ 51.87, I = 17
2θ 47.43, I = 10

---

Structure and calculated powder diffraction line list of Cs3KCd2Pb2 (a cell relaxed with GGA-PBE; Cu Ka).

Structure:
Cell: 7.357 7.032 7.507 Å, 90.00 106.37 90.00°
Positions (direct):
Cs (0.000, 0.000, 0.000)
Cs (0.052, 0.500, 0.360)
Cs (0.351, 0.000, 0.665)
K (0.704, 0.500, 0.700)
Cd (0.526, 0.250, 0.188)
Cd (0.526, 0.750, 0.188)
Pb (0.285, 0.500, 0.913)
Pb (0.787, 0.000, 0.445)

Most intense lines, 5° ≤ 2θ ≤ 70°, most intense first:
2θ 27.87, I = 100
2θ 27.52, I = 92
2θ 32.44, I = 61
2θ 14.89, I = 53
2θ 25.33, I = 38
2θ 17.80, I = 37

---

Structure and calculated powder diffraction line list of Tb3CuSiSe7 (a cell relaxed with GGA-PBE; Cu Ka).

Structure:
Cell: 10.395 10.395 5.987 Å, 90.00 90.00 120.00°
Positions (direct):
Tb (0.128, 0.355, 0.000)
Tb (0.227, 0.872, 0.000)
Tb (0.355, 0.227, 0.500)
Tb (0.645, 0.773, 0.000)
Tb (0.773, 0.128, 0.500)
Tb (0.872, 0.645, 0.500)
Cu (0.000, 0.000, 0.032)
Cu (0.000, 0.000, 0.532)
Si (0.333, 0.667, 0.411)
Si (0.667, 0.333, 0.911)
Se (0.095, 0.260, 0.520)
Se (0.102, 0.582, 0.255)
Se (0.165, 0.905, 0.520)
Se (0.260, 0.165, 0.020)
Se (0.333, 0.667, 0.788)
Se (0.418, 0.520, 0.255)
Se (0.480, 0.898, 0.255)
Se (0.520, 0.102, 0.755)
Se (0.582, 0.480, 0.755)
Se (0.667, 0.333, 0.288)
Se (0.740, 0.835, 0.520)
Se (0.835, 0.095, 0.020)
Se (0.898, 0.418, 0.755)
Se (0.905, 0.740, 0.020)

Most intense lines, 5° ≤ 2θ ≤ 70°, most intense first:
2θ 35.99, I = 100
2θ 34.53, I = 69
2θ 40.11, I = 54
2θ 31.49, I = 49
2θ 30.21, I = 45
2θ 39.09, I = 43

---

Structure and calculated powder diffraction line list of Cu7Ag2 (a cell relaxed with GGA-PBE; Cu Ka).

Structure:
Cell: 4.557 4.557 10.961 Å, 111.61 111.61 34.39°
Positions (direct):
Cu (0.000, 0.000, 0.000)
Cu (0.229, 0.229, 0.897)
Cu (0.313, 0.313, 0.309)
Cu (0.459, 0.459, 0.797)
Cu (0.541, 0.541, 0.203)
Cu (0.687, 0.687, 0.691)
Cu (0.771, 0.771, 0.103)
Ag (0.100, 0.100, 0.431)
Ag (0.900, 0.900, 0.569)

Most intense lines, 5° ≤ 2θ ≤ 70°, most intense first:
2θ 41.52, I = 100
2θ 48.13, I = 46
2θ 42.37, I = 32
2θ 49.45, I = 15
2θ 69.82, I = 7
2θ 37.35, I = 5